# 1
# Pa2CrCu
Computed PXRD pattern, Cu Kα X-rays. Input: DFT lattice parameters and positions (GGA-PBE).
Lines closer than 0.1° are merged.

Peak list (10 most intense, 2θ from 10° to 80°, in order of rising 2θ)
2θ/deg  d [Å]  I/Imax  h k l
17.66  5.022  915  0 0 6
26.62  3.348  300  0 0 9
34.42  2.606  1000  1 0 1
34.81  2.577  557  0 1 2
35.76  2.511  383  0 0 12
37.48  2.399  954  0 1 5
45.95  1.975  861  1 0 10
48.10  1.892  551  0 1 11
61.40  1.510  409  1 1 0
73.13  1.294  282  1 1 12

```
data_Pa2CrCu
_chemical_formula_sum 'Pa6 Cr3 Cu3'
_symmetry_space_group_name_H-M 'R -3 m'
_symmetry_Int_Tables_number 166
_symmetry_space_group_name_Hall '-R 3 2"'
_cell_length_a 3.0201
_cell_length_b 3.0201
_cell_length_c 30.1331
_cell_angle_alpha 90.00
_cell_angle_beta 90.00
_cell_angle_gamma 120.00
loop_
_atom_site_label
_atom_site_fract_x
_atom_site_fract_y
_atom_site_fract_z
Pa1 0.0000 0.0000 0.0938
Cr1 0.0000 0.0000 0.5000
Cu1 0.0000 0.0000 0.0000
```

# 2
# Cr7C3
Computed PXRD pattern, Cu Kα X-rays. Input: DFT lattice parameters and positions (GGA-PBE).
Lines closer than 0.1° are merged.

Peak list (10 most intense, 2θ from 10° to 80°, in order of rising 2θ)
2θ/deg  d [Å]  I/Imax  h k l
39.43  2.285  300  0 1 5
39.94  2.257  292  0 3 1
42.35  2.134  288  1 0 5
42.81  2.112  1000  2 1 1
44.44  2.039  775  1 1 5
44.61  2.031  871  1 2 4
44.89  2.019  933  1 3 1
46.83  1.940  393  1 3 2
50.65  1.802  350  2 2 2
79.83  1.201  275  3 3 3

```
data_Cr7C3
_chemical_formula_sum 'Cr28 C12'
_symmetry_space_group_name_H-M 'P n m a'
_symmetry_Int_Tables_number 62
_symmetry_space_group_name_Hall '-P 2ac 2n'
_cell_length_a 4.512
_cell_length_b 6.894
_cell_length_c 12.111
_cell_angle_alpha 90.00
_cell_angle_beta 90.00
_cell_angle_gamma 90.00
loop_
_atom_site_label
_atom_site_fract_x
_atom_site_fract_y
_atom_site_fract_z
Cr1 0.058 0.250 0.126
Cr2 0.068 0.066 0.313
Cr3 0.227 0.250 0.707
Cr4 0.243 0.250 0.918
Cr5 0.247 0.066 0.526
C1 0.024 0.035 0.840
C2 0.036 0.750 0.561
```

# 3
# Mg2NiH4
Computed PXRD pattern, Cu Kα X-rays. Input: DFT lattice parameters and positions (GGA-PBE).
Lines closer than 0.1° are merged.

Peak list (10 most intense, 2θ from 10° to 80°, in order of rising 2θ)
2θ/deg  d [Å]  I/Imax  h k l
20.74  4.282  111  1 1 1
23.87  3.728  1000  1 2 1
39.13  2.302  257  0 4 2
39.47  2.283  422  2 4 0
39.80  2.265  256  2 0 2
40.42  2.232  121  2 1 2
44.46  2.038  79  0 5 2
46.06  1.971  149  1 6 1
47.24  1.924  139  3 2 1
75.31  1.262  92  2 5 4

```
data_Mg2NiH4
_chemical_formula_sum 'Mg16 Ni8 H32'
_symmetry_space_group_name_H-M 'P c c n'
_symmetry_Int_Tables_number 56
_symmetry_space_group_name_Hall '-P 2ab 2ac'
_cell_length_a 6.354
_cell_length_b 13.132
_cell_length_c 6.458
_cell_angle_alpha 90.00
_cell_angle_beta 90.00
_cell_angle_gamma 90.00
loop_
_atom_site_label
_atom_site_fract_x
_atom_site_fract_y
_atom_site_fract_z
Mg1 0.238 0.014 0.070
Mg2 0.250 0.250 0.058
Mg3 0.250 0.750 0.474
Ni1 0.018 0.131 0.805
H1 0.035 0.744 0.742
H2 0.057 0.543 0.842
H3 0.067 0.610 0.473
H4 0.237 0.126 0.317
```

# 4
# LiTmAgBi
Computed PXRD pattern, Cu Kα X-rays. Input: DFT lattice parameters and positions (GGA-PBE).
Lines closer than 0.1° are merged.

Peak list (10 most intense, 2θ from 10° to 80°, in order of rising 2θ)
2θ/deg  d [Å]  I/Imax  h k l
21.36  4.159  335  1 1 1
24.72  3.602  109  2 0 0
35.24  2.547  1000  2 2 0
41.58  2.172  187  3 1 1
50.69  1.801  179  4 0 0
55.61  1.653  82  3 3 1
63.24  1.471  368  4 2 2
67.57  1.386  62  5 1 1
74.51  1.274  115  4 4 0
78.56  1.218  63  5 3 1

```
data_LiTmAgBi
_chemical_formula_sum 'Li4 Tm4 Ag4 Bi4'
_symmetry_space_group_name_H-M 'F -4 3 m'
_symmetry_Int_Tables_number 216
_symmetry_space_group_name_Hall 'F -4 2 3'
_cell_length_a 7.204
_cell_length_b 7.204
_cell_length_c 7.204
_cell_angle_alpha 90.00
_cell_angle_beta 90.00
_cell_angle_gamma 90.00
loop_
_atom_site_label
_atom_site_fract_x
_atom_site_fract_y
_atom_site_fract_z
Li1 0.000 0.000 0.000
Tm1 0.000 0.000 0.500
Ag1 0.250 0.250 0.750
Bi1 0.250 0.250 0.250
```

# 5
# Nd2ErZn3
Computed PXRD pattern, Cu Kα X-rays. Input: DFT lattice parameters and positions (GGA-PBE).
Lines closer than 0.1° are merged.

Peak list (10 most intense, 2θ from 10° to 80°, in order of rising 2θ)
2θ/deg  d [Å]  I/Imax  h k l
24.28  3.666  85  0 0 3
24.59  3.620  159  1 0 0
34.83  2.576  1000  1 0 3
35.05  2.560  502  1 1 0
43.10  2.099  76  1 1 3
49.74  1.833  85  0 0 6
50.41  1.810  177  2 0 0
62.30  1.490  170  1 1 6
62.73  1.481  355  2 1 3
73.53  1.288  103  2 0 6

```
data_Nd2ErZn3
_chemical_formula_sum 'Nd2 Er1 Zn3'
_symmetry_space_group_name_H-M 'P 4/m m m'
_symmetry_Int_Tables_number 123
_symmetry_space_group_name_Hall '-P 4 2'
_cell_length_a 3.620
_cell_length_b 3.620
_cell_length_c 10.998
_cell_angle_alpha 90.00
_cell_angle_beta 90.00
_cell_angle_gamma 90.00
loop_
_atom_site_label
_atom_site_fract_x
_atom_site_fract_y
_atom_site_fract_z
Nd1 0.000 0.000 0.172
Er1 0.000 0.000 0.500
Zn1 0.500 0.500 0.000
Zn2 0.500 0.500 0.348
```

# 6
# Pm6Dy2Th
Computed PXRD pattern, Cu Kα X-rays. Input: DFT lattice parameters and positions (GGA-PBE).
Lines closer than 0.1° are merged.

Peak list (10 most intense, 2θ from 10° to 80°, in order of rising 2θ)
2θ/deg  d [Å]  I/Imax  h k l
28.48  3.135  456  1 0 0
29.83  2.995  468  0 0 9
31.48  2.842  659  1 0 4
33.06  2.710  1000  1 0 5
41.71  2.165  296  1 0 9
50.43  1.810  359  1 1 0
56.06  1.640  318  1 0 14
59.70  1.549  397  1 1 9
61.63  1.505  169  2 0 5
78.73  1.215  116  2 0 14

```
data_Pm6Dy2Th
_chemical_formula_sum 'Pm6 Dy2 Th1'
_symmetry_space_group_name_H-M 'P -6 m 2'
_symmetry_Int_Tables_number 187
_symmetry_space_group_name_Hall 'P -6 2'
_cell_length_a 3.6194
_cell_length_b 3.6194
_cell_length_c 26.9538
_cell_angle_alpha 90.00
_cell_angle_beta 90.00
_cell_angle_gamma 120.00
loop_
_atom_site_label
_atom_site_fract_x
_atom_site_fract_y
_atom_site_fract_z
Pm1 0.0000 0.0000 0.0660
Pm2 0.0000 0.0000 0.2791
Pm3 0.3333 0.6667 0.3909
Dy1 0.3333 0.6667 0.1706
Th1 0.0000 0.0000 0.5000
```

# 7
# Ca3NdCd8
Computed PXRD pattern, Cu Kα X-rays. Input: DFT lattice parameters and positions (GGA-PBE).
Lines closer than 0.1° are merged.

Peak list (10 most intense, 2θ from 10° to 80°, in order of rising 2θ)
2θ/deg  d [Å]  I/Imax  h k l
16.84  5.264  282  1 0 0
19.23  4.615  237  1 0 1
32.77  2.732  475  0 1 3
34.95  2.567  953  1 1 2
35.36  2.538  1000  2 0 1
37.51  2.398  267  0 0 4
39.04  2.307  374  0 2 2
55.79  1.648  237  3 0 2
59.64  1.550  295  0 2 5
60.97  1.520  286  2 2 0

```
data_Ca3NdCd8
_chemical_formula_sum 'Ca3 Nd1 Cd8'
_symmetry_space_group_name_H-M 'P 3 m 1'
_symmetry_Int_Tables_number 156
_symmetry_space_group_name_Hall 'P 3 -2"'
_cell_length_a 6.0788
_cell_length_b 6.0788
_cell_length_c 9.5906
_cell_angle_alpha 90.00
_cell_angle_beta 90.00
_cell_angle_gamma 120.00
loop_
_atom_site_label
_atom_site_fract_x
_atom_site_fract_y
_atom_site_fract_z
Ca1 0.0000 0.0000 0.0000
Ca2 0.0000 0.0000 0.3825
Ca3 0.3333 0.6667 0.8785
Nd1 0.3333 0.6667 0.4995
Cd1 0.0084 0.5042 0.1910
Cd2 0.3261 0.1631 0.6902
Cd3 0.6667 0.3333 0.4410
Cd4 0.6667 0.3333 0.9422
```

# 8
# Cd4AsS2Br
Computed PXRD pattern, Cu Kα X-rays. Input: DFT lattice parameters and positions (GGA-PBE).
Lines closer than 0.1° are merged.

Peak list (10 most intense, 2θ from 10° to 80°, in order of rising 2θ)
2θ/deg  d [Å]  I/Imax  h k l
26.98  3.305  114  0 2 2
27.44  3.250  99  2 0 2
31.52  2.838  1000  0 0 4
44.60  2.032  127  0 4 0
45.17  2.007  462  2 2 4
45.79  1.982  103  4 0 0
55.62  1.653  125  0 4 4
56.63  1.625  104  4 0 4
65.81  1.419  101  0 0 8
74.78  1.270  180  2 2 8

```
data_Cd4AsS2Br
_chemical_formula_sum 'Cd16 As4 S8 Br4'
_symmetry_space_group_name_H-M 'I m m a'
_symmetry_Int_Tables_number 74
_symmetry_space_group_name_Hall '-I 2b 2'
_cell_length_a 7.927
_cell_length_b 8.127
_cell_length_c 11.361
_cell_angle_alpha 90.00
_cell_angle_beta 90.00
_cell_angle_gamma 90.00
loop_
_atom_site_label
_atom_site_fract_x
_atom_site_fract_y
_atom_site_fract_z
Cd1 0.000 0.001 0.239
Cd2 0.225 0.250 0.997
As1 0.250 0.250 0.750
S1 0.000 0.000 0.000
S2 0.250 0.250 0.250
Br1 0.000 0.000 0.500
```

# 9
# Pr5DyY2Er
Computed PXRD pattern, Cu Kα X-rays. Input: DFT lattice parameters and positions (GGA-PBE).
Lines closer than 0.1° are merged.

Peak list (10 most intense, 2θ from 10° to 80°, in order of rising 2θ)
2θ/deg  d [Å]  I/Imax  h k l
28.00  3.187  322  2 1 3
29.18  3.060  515  2 2 0
29.59  3.019  1000  2 0 4
31.10  2.876  85  2 2 2
38.20  2.356  149  2 0 6
41.75  2.164  93  4 0 0
42.94  2.106  103  0 0 8
46.17  1.966  102  4 1 3
52.00  1.759  266  4 2 4
52.76  1.735  127  2 2 8

```
data_Pr5DyY2Er
_chemical_formula_sum 'Pr20 Dy4 Y8 Er4'
_symmetry_space_group_name_H-M 'I 4/m c m'
_symmetry_Int_Tables_number 140
_symmetry_space_group_name_Hall '-I 4 2c'
_cell_length_a 8.655
_cell_length_b 8.655
_cell_length_c 16.852
_cell_angle_alpha 90.00
_cell_angle_beta 90.00
_cell_angle_gamma 90.00
loop_
_atom_site_label
_atom_site_fract_x
_atom_site_fract_y
_atom_site_fract_z
Pr1 0.000 0.000 0.000
Pr2 0.214 0.286 0.143
Dy1 0.000 0.000 0.250
Y1 0.123 0.377 0.500
Er1 0.000 0.500 0.250
```

# 10
# Ga8TcPt2
Computed PXRD pattern, Cu Kα X-rays. Input: DFT lattice parameters and positions (GGA-PBE).
Lines closer than 0.1° are merged.

Peak list (10 most intense, 2θ from 10° to 80°, in order of rising 2θ)
2θ/deg  d [Å]  I/Imax  h k l
20.28  4.379  1000  0 2 0
20.39  4.355  791  0 0 1
28.67  3.114  353  3 1 0
29.75  3.003  420  2 2 -1
40.02  2.253  789  4 2 -1
40.33  2.237  363  1 1 -2
41.08  2.197  960  3 1 1
41.24  2.189  881  0 4 0
43.89  2.063  347  2 2 -2
50.94  1.793  627  3 3 1

```
data_Ga8TcPt2
_chemical_formula_sum 'Ga16 Tc2 Pt4'
_symmetry_space_group_name_H-M 'C 1 2/m 1'
_symmetry_Int_Tables_number 12
_symmetry_space_group_name_Hall '-C 2y'
_cell_length_a 10.759
_cell_length_b 8.759
_cell_length_c 4.688
_cell_angle_alpha 90.00
_cell_angle_beta 111.74
_cell_angle_gamma 90.00
loop_
_atom_site_label
_atom_site_fract_x
_atom_site_fract_y
_atom_site_fract_z
Ga1 0.082 0.000 0.357
Ga2 0.123 0.500 0.573
Ga3 0.153 0.275 0.121
Tc1 0.000 0.500 0.000
Pt1 0.182 0.000 0.939
```

# 11
# DyTh2Au3
Computed PXRD pattern, Cu Kα X-rays. Input: DFT lattice parameters and positions (GGA-PBE).
Lines closer than 0.1° are merged.

Peak list (10 most intense, 2θ from 10° to 80°, in order of rising 2θ)
2θ/deg  d [Å]  I/Imax  h k l
33.21  2.698  267  0 6 0
34.66  2.588  258  2 0 0
34.80  2.578  1000  1 3 1
48.75  1.868  185  2 6 0
51.30  1.781  86  0 0 2
60.36  1.534  179  1 9 1
62.20  1.492  200  3 3 1
62.48  1.486  89  0 6 2
63.39  1.467  92  2 0 2
73.47  1.289  114  2 6 2

```
data_DyTh2Au3
_chemical_formula_sum 'Dy2 Th4 Au6'
_symmetry_space_group_name_H-M 'P m m n'
_symmetry_Int_Tables_number 59
_cell_length_a 5.177
_cell_length_b 16.188
_cell_length_c 3.562
_cell_angle_alpha 90.00
_cell_angle_beta 90.00
_cell_angle_gamma 90.00
loop_
_symmetry_equiv_pos_as_xyz
'x,y,z'
'-x,-y,-z'
'-x+1/2,-y+1/2,z'
'x+1/2,y+1/2,-z'
'x+1/2,-y,-z'
'-x+1/2,y,z'
'-x,y+1/2,-z'
'x,-y+1/2,z'
loop_
_atom_site_label
_atom_site_fract_x
_atom_site_fract_y
_atom_site_fract_z
Dy1 0.250 0.250 0.001
Th1 0.250 0.580 0.000
Au1 0.250 0.096 0.501
Au2 0.250 0.750 0.499
```